(1)
Calculated X-ray diffraction stick pattern
Compound: Rb2AgRhF6
Radiation: Cu Kα (weighted mean of Kα1 and Kα2)
Structure: a crystal structure in the Materials Project, relaxed with PBE
No peak broadening, texture or thermal motion is included.

```
10
Lattice="0.0000 4.4222 4.4222 4.4222 0.0000 4.4222 4.4222 4.4222 0.0000" Properties=species:S:1:pos:R:3 pbc="T T T"
Rb 2.2111 2.2111 2.2111
Rb 6.6334 6.6334 6.6334
Ag 0.0000 0.0000 0.0000
Rh 4.4222 4.4222 4.4222
F 4.4222 4.4222 2.3913
F 4.4222 2.3913 4.4222
F 6.4531 4.4222 4.4222
F 2.3913 4.4222 4.4222
F 4.4222 6.4531 4.4222
F 4.4222 4.4222 6.4531
```

Main lines, by angle (2θ from 10° to 90°):
- 20.08°, I = 8
- 28.55°, I = 100
- 40.81°, I = 38
- 45.89°, I = 3
- 50.56°, I = 39
- 59.09°, I = 23
- 66.91°, I = 18
- 74.30°, I = 7
- 81.43°, I = 21
- 88.42°, I = 3

(2)
Calculated X-ray diffraction stick pattern
Compound: Li3Cu3P2O8
Radiation: Cu Kα (weighted mean of Kα1 and Kα2)
Structure: a crystal structure in the Materials Project, relaxed with PBE
No peak broadening, texture or thermal motion is included.

```
16
Lattice="5.0989 0.0000 0.0000 -0.0153 5.4888 0.0000 -0.0099 -0.0393 6.1599" Properties=species:S:1:pos:R:3 pbc="T T T"
Li 0.0000 0.0000 0.0000
Li -0.0073 2.6299 1.5636
Li 2.5533 1.6672 3.0846
Cu -0.0115 2.6624 4.5755
Cu 2.5579 4.4216 4.6776
Cu 2.5961 4.4421 1.4902
P 0.0128 5.3962 3.0541
P 2.5619 1.7824 0.0324
O 1.5846 -0.0142 3.0745
O 1.9649 0.3438 0.0100
O 1.9873 2.5005 1.2965
O 2.0909 2.4573 4.8739
O 4.1206 1.7528 0.0796
O 4.5297 1.3487 3.0002
O 4.6317 4.6851 4.3674
O 4.6604 4.5811 1.7995
```

Main lines, by angle (2θ from 10° to 90°):
- 21.76°, I = 46
- 22.64°, I = 84
- 23.82°, I = 49
- 32.63°, I = 47
- 33.27°, I = 66
- 33.45°, I = 55
- 35.20°, I = 100
- 37.21°, I = 74
- 37.78°, I = 59
- 37.94°, I = 66

(3)
Calculated X-ray diffraction stick pattern
Compound: KNd3Te8
Radiation: Cu Kα (weighted mean of Kα1 and Kα2)
Structure: a crystal structure in the Materials Project, relaxed with PBE
No peak broadening, texture or thermal motion is included.

```
48
Lattice="14.4990 0.0000 0.0000 0.0000 12.9548 0.0000 -1.5644 0.0000 8.9050" Properties=species:S:1:pos:R:3 pbc="T T T"
K 0.1174 1.1302 2.2100
K -0.6648 5.3472 6.6625
K 13.5994 7.6076 2.2426
K 12.8172 11.8246 6.6951
Nd 4.9167 9.7094 0.7318
Nd 4.1345 9.7228 5.1843
Nd 4.9850 1.1089 0.6548
Nd 4.2028 5.3685 5.1074
Nd 4.2062 1.0827 5.2512
Nd 4.9884 5.3946 0.7987
Nd 7.9462 7.5601 8.1064
Nd 8.7284 11.8720 3.6539
Nd 8.7318 7.5863 3.7977
Nd 7.9495 11.8458 8.2502
Nd 8.8001 3.2320 3.7207
Nd 8.0179 3.2454 8.1733
Te 1.2112 9.4609 6.9616
Te 1.9934 9.9712 2.5090
Te 1.6719 7.5120 4.8532
Te 2.4812 7.5245 0.2046
Te 1.6990 11.9076 4.6571
Te 2.4541 11.9201 0.4007
Te 1.3390 1.2384 6.9591
Te 2.1212 5.2390 2.5066
Te 1.7528 3.2224 4.7222
Te 2.5350 3.2550 0.2696
Te 4.6763 7.5089 7.5519
Te 5.4585 11.9232 3.0993
Te 5.4858 7.5809 3.1478
Te 4.7036 11.8512 7.6003
Te 5.5455 3.1766 3.1249
Te 4.7633 3.3007 7.5774
Te 8.1713 9.6540 1.3277
Te 7.3891 9.7781 5.7802
Te 8.2310 1.1035 1.3047
Te 7.4488 5.3739 5.7573
Te 7.4761 1.0315 5.8057
Te 8.2583 5.4458 1.3532
Te 10.3996 9.6998 8.6354
Te 11.1818 9.7324 4.1829
Te 10.8134 7.7158 6.3985
Te 11.5956 11.7164 1.9459
Te 10.4805 1.0347 8.5043
Te 11.2356 1.0471 4.2479
Te 10.4534 5.4303 8.7005
Te 11.2627 5.4427 4.0518
Te 10.9412 2.9835 6.3960
Te 11.7234 3.4938 1.9435
```

Main lines, by angle (2θ from 10° to 90°):
- 24.94°, I = 45
- 28.77°, I = 43
- 30.01°, I = 100
- 30.23°, I = 82
- 31.32°, I = 29
- 32.54°, I = 56
- 36.01°, I = 54
- 36.44°, I = 43
- 39.89°, I = 49
- 41.84°, I = 41

(4)
Calculated X-ray diffraction stick pattern
Compound: MnCr3Te4
Radiation: Cu Kα (weighted mean of Kα1 and Kα2)
Structure: a crystal structure in the Materials Project, relaxed with PBE
No peak broadening, texture or thermal motion is included.

```
8
Lattice="6.1728 0.0000 0.0000 0.0000 4.1454 0.0000 -0.0006 0.0000 7.1785" Properties=species:S:1:pos:R:3 pbc="T T T"
Mn 0.0000 0.0000 0.0000
Cr -0.0003 2.0727 3.5892
Cr 3.0864 0.0000 0.0000
Cr 3.0861 2.0727 3.5892
Te 1.5504 0.0000 2.4036
Te 1.5715 2.0727 5.9715
Te 4.6007 2.0727 1.2070
Te 4.6219 0.0000 4.7749
```

Main lines, by angle (2θ from 10° to 90°):
- 28.77°, I = 100
- 38.47°, I = 53
- 43.68°, I = 43
- 51.17°, I = 20
- 53.16°, I = 23
- 59.59°, I = 14
- 71.15°, I = 15
- 76.73°, I = 13
- 77.05°, I = 15
- 85.78°, I = 9

(5)
Calculated X-ray diffraction stick pattern
Compound: Ca11V2N10
Radiation: Cu Kα (weighted mean of Kα1 and Kα2)
Structure: a crystal structure in the Materials Project, relaxed with PBE
No peak broadening, texture or thermal motion is included.

```
46
Lattice="15.2031 0.0000 0.0000 0.0000 15.2031 0.0000 0.0000 0.0000 3.5907" Properties=species:S:1:pos:R:3 pbc="T T T"
Ca 0.0000 0.0000 0.0000
Ca 0.4230 2.9973 1.7953
Ca 1.4144 9.5782 1.7953
Ca 1.9766 6.1872 0.0000
Ca 2.3725 12.8306 0.0000
Ca 2.9973 0.4230 1.7953
Ca 4.6042 8.0246 0.0000
Ca 5.2290 5.2290 1.7953
Ca 5.6249 13.7887 1.7953
Ca 6.1872 1.9766 0.0000
Ca 7.1785 10.5989 0.0000
Ca 7.6015 7.6015 1.7953
Ca 8.0246 4.6042 0.0000
Ca 9.0159 13.2264 0.0000
Ca 9.5782 1.4144 1.7953
Ca 9.9741 9.9741 1.7953
Ca 10.5989 7.1785 0.0000
Ca 12.2057 14.7801 1.7953
Ca 12.8306 2.3725 0.0000
Ca 13.2264 9.0159 0.0000
Ca 13.7887 5.6249 1.7953
Ca 14.7801 12.2057 1.7953
V 2.9940 2.9940 0.0000
V 4.6075 10.5956 1.7953
V 10.5956 4.6075 1.7953
V 12.2090 12.2090 0.0000
N 0.0304 10.4500 0.0000
N 1.2289 13.9742 1.7953
N 1.7318 1.7318 0.0000
N 2.8485 7.5711 1.7953
N 3.3620 11.8411 1.7953
N 4.2395 4.2395 0.0000
N 4.7531 15.1727 0.0000
N 5.8698 9.3333 1.7953
N 6.3726 6.3726 0.0000
N 7.5711 2.8485 1.7953
N 7.6319 12.3546 1.7953
N 8.8305 8.8305 0.0000
N 9.3333 5.8698 1.7953
N 10.4500 0.0304 0.0000
N 10.9635 10.9635 0.0000
N 11.8411 3.3620 1.7953
N 12.3546 7.6319 1.7953
N 13.4713 13.4713 0.0000
N 13.9742 1.2289 1.7953
N 15.1727 4.7531 0.0000
```

Main lines, by angle (2θ from 10° to 90°):
- 26.18°, I = 33
- 29.95°, I = 91
- 31.69°, I = 27
- 32.76°, I = 100
- 33.34°, I = 37
- 35.40°, I = 57
- 38.81°, I = 46
- 42.00°, I = 26
- 50.86°, I = 29
- 60.20°, I = 28

(6)
Calculated X-ray diffraction stick pattern
Compound: BaHfMg14O16
Radiation: Cu Kα (weighted mean of Kα1 and Kα2)
Structure: a crystal structure in the Materials Project, relaxed with PBE
No peak broadening, texture or thermal motion is included.

```
32
Lattice="4.5640 0.0000 0.0000 0.0000 8.8614 0.0000 0.0000 0.0000 8.9200" Properties=species:S:1:pos:R:3 pbc="T T T"
Ba 0.0000 0.0000 0.0000
Hf 0.0000 0.0000 4.4600
Mg 0.0000 2.3674 2.2459
Mg 0.0000 2.3674 6.6741
Mg 0.0000 4.4307 0.0000
Mg 0.0000 4.4307 4.4600
Mg 0.0000 6.4939 2.2459
Mg 0.0000 6.4939 6.6741
Mg 2.2820 0.0000 2.2613
Mg 2.2820 0.0000 6.6587
Mg 2.2820 2.2973 4.4600
Mg 2.2820 2.3643 0.0000
Mg 2.2820 4.4307 2.2398
Mg 2.2820 4.4307 6.6802
Mg 2.2820 6.4971 0.0000
Mg 2.2820 6.5640 4.4600
O 0.0000 0.0000 2.4528
O 0.0000 0.0000 6.4672
O 0.0000 2.2647 4.4600
O 0.0000 2.4946 0.0000
O 0.0000 4.4307 2.3062
O 0.0000 4.4307 6.6138
O 0.0000 6.3668 0.0000
O 0.0000 6.5967 4.4600
O 2.2820 0.0000 0.0000
O 2.2820 0.0000 4.4600
O 2.2820 2.2184 2.2209
O 2.2820 2.2184 6.6991
O 2.2820 4.4307 0.0000
O 2.2820 4.4307 4.4600
O 2.2820 6.6429 2.2209
O 2.2820 6.6429 6.6991
```

Main lines, by angle (2θ from 10° to 90°):
- 21.90°, I = 61
- 22.32°, I = 62
- 28.02°, I = 72
- 29.77°, I = 69
- 34.65°, I = 100
- 39.49°, I = 93
- 40.45°, I = 85
- 40.73°, I = 80
- 57.81°, I = 54
- 58.76°, I = 55